# 1
This entry pairs a crystal structure of K3H8RhC4Cl2O12 with its simulated X-ray powder pattern. Radiation: copper Kα. Structure: a crystal structure in the Materials Project, relaxed with PBE.

Unit cell a=11.6185 b=11.9900 c=6.4482 alpha=90.00 beta=116.86 gamma=90.00
Space group C2/m (No. 12)
Inequivalent atoms, fractional coordinates:
K 0.0000 0.0000 0.0000 x2
K 0.0000 0.2692 0.5000 x4
H 0.1235 0.2463 0.0765 x8
H 0.2093 0.1637 0.0215 x8
Rh 0.0000 0.5000 0.0000 x2
C 0.2327 0.4355 0.3923 x8
Cl 0.1386 0.5000 0.8207 x4
O 0.1226 0.1956 0.9556 x8
O 0.1261 0.3887 0.2400 x8
O 0.1711 0.1162 0.4677 x8

Peak list (8 most intense, 2θ = 10–80°, low angle first)
(1 1 0), 2θ 11.28, rel. 100
(0 2 0), 2θ 14.78, rel. 31
(2 0 -1), 2θ 17.10, rel. 45
(0 2 1), 2θ 21.41, rel. 41
(2 2 -1), 2θ 22.66, rel. 64
(0 0 2), 2θ 31.08, rel. 52
(2 2 1), 2θ 31.71, rel. 46
(4 0 -2), 2θ 34.57, rel. 55



# 2
This entry pairs a crystal structure of Li2H2C6N9Cl with its simulated X-ray powder pattern. Radiation: copper Kα. Structure: a crystal structure in the Materials Project, relaxed with PBE.

Unit cell a=7.1312 b=8.6396 c=8.6507 alpha=60.40 beta=89.64 gamma=89.83
Space group P1 (No. 1)
Inequivalent atoms, fractional coordinates:
Li 0.0000 0.0000 0.0000 x1
Li 0.0021 0.0947 0.3545 x1
Li 0.4986 0.8351 0.2439 x1
Li 0.5018 0.2899 0.1314 x1
H 0.4908 0.3206 0.8520 x1
H 0.4943 0.0418 0.4117 x1
H 0.9855 0.8188 0.3861 x1
H 0.9966 0.3772 0.1013 x1
C 0.4950 0.4217 0.5918 x1
C 0.4951 0.5882 0.7649 x1
C 0.4959 0.2196 0.5005 x1
C 0.4958 0.8806 0.6741 x1
C 0.4973 0.5179 0.2935 x1
C 0.4972 0.6843 0.9704 x1
C 0.9942 0.5567 0.4834 x1
C 0.9943 0.7285 0.6512 x1
C 0.9961 0.4648 0.2825 x1
C 0.9964 0.6389 0.9435 x1
C 0.9975 0.2599 0.5829 x1
C 0.9972 0.9367 0.7425 x1
N 0.4945 0.2475 0.6378 x1
N 0.4939 0.4421 0.7401 x1
N 0.4954 0.0491 0.5257 x1
N 0.4948 0.7522 0.6261 x1
N 0.4965 0.5594 0.4281 x1
N 0.4974 0.3474 0.3256 x1
N 0.4966 0.5442 0.9386 x1
N 0.4971 0.8574 0.8366 x1
N 0.4979 0.6675 0.1339 x1
N 0.9918 0.7044 0.5054 x1
N 0.9940 0.6041 0.3081 x1
N 0.9949 0.5914 0.8155 x1
N 0.9962 0.3948 0.6217 x1
N 0.9958 0.9032 0.6052 x1
N 0.9966 0.4898 0.1115 x1
N 0.9975 0.8033 0.9178 x1
N 0.9983 0.0979 0.7298 x1
N 0.9979 0.2909 0.4114 x1
Cl 0.2519 0.0743 0.1668 x1
Cl 0.7524 0.0717 0.1698 x1

Peak list (8 most intense, 2θ = 10–80°, low angle first)
(0 1 1), 2θ 11.80, rel. 38
(0 1 -1), 2θ 20.42, rel. 14
(0 2 1), 2θ 20.55, rel. 30
(0 0 2), 2θ 23.67, rel. 14
(2 0 0), 2θ 24.97, rel. 100
(2 1 1), 2θ 27.67, rel. 78
(-2 1 1), 2θ 27.76, rel. 39
(4 0 0), 2θ 51.24, rel. 16